No. 1
Structure and calculated PXRD pattern of Pm5Sm3 (a crystal structure in Alexandria, relaxed with PBE; Cu Kα X-rays).
Neutral-atom scattering factors, no anomalous dispersion.

Atomic structure:
```
Pm5Sm3
1.0
5.1459 0.0000 0.0000
0.0000 5.1464 0.0000
0.0000 0.0000 10.2909
Pm Sm
5 3
Direct
0.0000 0.0000 0.0000
0.0000 0.0000 0.5000
0.5000 0.0000 0.2504
0.5000 0.0000 0.7496
0.5000 0.5000 0.0000
0.0000 0.5000 0.2503
0.0000 0.5000 0.7497
0.5000 0.5000 0.5000
```

Peak list (8 most intense, 10 to 90 degrees two-theta, sorted by position)
2θ 30.08, d = 2.971 Å, I = 100
2θ 34.87, d = 2.573 Å, I = 51
2θ 50.14, d = 1.819 Å, I = 36
2θ 59.59, d = 1.552 Å, I = 43
2θ 62.53, d = 1.485 Å, I = 12
2θ 73.63, d = 1.286 Å, I = 6
2θ 81.54, d = 1.181 Å, I = 18
2θ 84.13, d = 1.151 Å, I = 16



No. 2
Structure and calculated PXRD pattern of Ho3MgTe6 (a crystal structure in Alexandria, relaxed with PBE; Cu Kα X-rays).
Neutral-atom scattering factors, no anomalous dispersion.

Atomic structure:
```
Ho3MgTe6
1.0
6.0485 -7.1503 0.0000
6.0485 7.1503 0.0000
0.0000 0.0000 7.5132
Ho Mg Te
6 2 12
Direct
0.0963 0.9037 0.5000
0.2264 0.4216 0.4010
0.4216 0.2264 0.9010
0.5784 0.7736 0.4010
0.7736 0.5784 0.9010
0.9037 0.0963 0.0000
0.2875 0.7125 0.8740
0.7125 0.2875 0.3740
0.0456 0.5970 0.6687
0.1261 0.2049 0.7030
0.2049 0.1261 0.2030
0.2712 0.7288 0.2429
0.4030 0.9544 0.6687
0.4634 0.5366 0.7017
0.5366 0.4634 0.2017
0.5970 0.0456 0.1687
0.7288 0.2712 0.7429
0.7951 0.8739 0.7030
0.8739 0.7951 0.2030
0.9544 0.4030 0.1687
```

Peak list (10 most intense, 10 to 90 degrees two-theta, sorted by position)
2θ 15.20, d = 5.828 Å, I = 40
2θ 22.60, d = 3.934 Å, I = 40
2θ 23.29, d = 3.819 Å, I = 24
2θ 27.63, d = 3.228 Å, I = 23
2θ 31.40, d = 2.849 Å, I = 100
2θ 33.19, d = 2.699 Å, I = 83
2θ 34.64, d = 2.590 Å, I = 42
2θ 38.59, d = 2.333 Å, I = 40
2θ 44.15, d = 2.051 Å, I = 19
2θ 44.97, d = 2.016 Å, I = 29



No. 3
Structure and calculated PXRD pattern of PmMn10Fe2 (a crystal structure in Alexandria, relaxed with PBE; Cu Kα X-rays).
Neutral-atom scattering factors, no anomalous dispersion.

Atomic structure:
```
PmMn10Fe2
1.0
4.2035 -4.8240 0.0000
4.2035 4.8240 0.0000
0.0000 0.0000 8.0484
Pm Mn Fe
2 20 4
Direct
0.1191 0.8809 0.7500
0.8809 0.1191 0.2500
0.1285 0.3920 0.7500
0.1725 0.8275 0.1075
0.1725 0.8275 0.3925
0.2294 0.2294 0.0000
0.2294 0.2294 0.5000
0.2515 0.4834 0.2500
0.3920 0.1285 0.2500
0.3957 0.6043 0.5696
0.3957 0.6043 0.9304
0.4834 0.2515 0.7500
0.5166 0.7485 0.2500
0.6043 0.3957 0.0696
0.6043 0.3957 0.4304
0.6080 0.8715 0.7500
0.7485 0.5166 0.7500
0.7706 0.7706 0.0000
0.7706 0.7706 0.5000
0.8275 0.1725 0.6075
0.8275 0.1725 0.8925
0.8715 0.6080 0.2500
0.0000 0.5000 0.0000
0.0000 0.5000 0.5000
0.5000 0.0000 0.0000
0.5000 0.0000 0.5000
```

Peak list (10 most intense, 10 to 90 degrees two-theta, sorted by position)
2θ 30.31, d = 2.949 Å, I = 25
2θ 38.39, d = 2.345 Å, I = 35
2θ 40.32, d = 2.237 Å, I = 42
2θ 42.80, d = 2.113 Å, I = 17
2θ 43.04, d = 2.102 Å, I = 39
2θ 43.25, d = 2.092 Å, I = 34
2θ 43.76, d = 2.069 Å, I = 59
2θ 44.25, d = 2.047 Å, I = 100
2θ 45.06, d = 2.012 Å, I = 23
2θ 49.08, d = 1.856 Å, I = 22



No. 4
Structure and calculated PXRD pattern of Na2CuSn5 (a crystal structure in Alexandria, relaxed with PBE; Cu Kα X-rays).
Neutral-atom scattering factors, no anomalous dispersion.

Atomic structure:
```
Na2CuSn5
1.0
-3.3406 3.3406 5.1022
3.3406 -3.3406 5.1022
3.3406 3.3406 -5.1022
Na Cu Sn
2 1 5
Direct
0.0000 0.5000 0.5000
0.5000 0.0000 0.5000
0.2327 0.2327 0.0000
0.5157 0.5157 0.0000
0.5287 0.5287 0.5555
0.5287 0.9731 0.0000
0.9731 0.5287 0.0000
0.9731 0.9731 0.4445
```

Peak list (10 most intense, 10 to 90 degrees two-theta, sorted by position)
2θ 15.85, d = 5.590 Å, I = 23
2θ 17.38, d = 5.102 Å, I = 52
2θ 31.19, d = 2.868 Å, I = 22
2θ 32.02, d = 2.795 Å, I = 100
2θ 35.18, d = 2.551 Å, I = 32
2θ 38.10, d = 2.362 Å, I = 45
2θ 40.17, d = 2.245 Å, I = 21
2θ 52.82, d = 1.733 Å, I = 34
2θ 65.05, d = 1.434 Å, I = 18
2θ 86.76, d = 1.122 Å, I = 17



No. 5
Structure and calculated PXRD pattern of Hf3V2Ge3 (a crystal structure in Alexandria, relaxed with PBE; Cu Kα X-rays).
Neutral-atom scattering factors, no anomalous dispersion.

Atomic structure:
```
Hf3V2Ge3
1.0
7.7355 0.0000 0.0000
-3.8677 6.6991 0.0000
0.0000 0.0000 5.2167
Hf V Ge
6 4 6
Direct
0.0000 0.2501 0.2500
0.0000 0.7499 0.7500
0.2501 0.0000 0.2500
0.2501 0.2501 0.7500
0.7499 0.0000 0.7500
0.7499 0.7499 0.2500
0.3333 0.6667 0.0000
0.3333 0.6667 0.5000
0.6667 0.3333 0.0000
0.6667 0.3333 0.5000
0.0000 0.3989 0.7500
0.0000 0.6011 0.2500
0.3989 0.0000 0.7500
0.3989 0.3989 0.2500
0.6011 0.0000 0.2500
0.6011 0.6011 0.7500
```

Peak list (10 most intense, 10 to 90 degrees two-theta, sorted by position)
2θ 22.99, d = 3.868 Å, I = 15
2θ 28.73, d = 3.107 Å, I = 21
2θ 34.38, d = 2.608 Å, I = 26
2θ 35.45, d = 2.532 Å, I = 19
2θ 39.56, d = 2.278 Å, I = 100
2θ 40.39, d = 2.233 Å, I = 19
2θ 41.77, d = 2.163 Å, I = 30
2θ 63.06, d = 1.474 Å, I = 16
2θ 65.07, d = 1.433 Å, I = 23
2θ 66.33, d = 1.409 Å, I = 15



No. 6
Structure and calculated PXRD pattern of ErMgH8Ir2 (a crystal structure in Alexandria, relaxed with PBE; Cu Kα X-rays).
Neutral-atom scattering factors, no anomalous dispersion.

Atomic structure:
```
ErMgH8Ir2
1.0
2.3385 1.3501 5.3796
-2.3385 1.3501 5.3796
0.0000 -2.7003 5.3796
Er Mg H Ir
1 1 8 2
Direct
0.0000 0.0000 0.0000
0.5000 0.5000 0.5000
0.1080 0.5537 0.5537
0.3202 0.3202 0.3202
0.4463 0.4463 0.8920
0.4463 0.8920 0.4463
0.5537 0.1080 0.5537
0.5537 0.5537 0.1080
0.6798 0.6798 0.6798
0.8920 0.4463 0.4463
0.2194 0.2194 0.2194
0.7806 0.7806 0.7806
```

Peak list (10 most intense, 10 to 90 degrees two-theta, sorted by position)
2θ 22.63, d = 3.929 Å, I = 44
2θ 24.59, d = 3.620 Å, I = 22
2θ 31.29, d = 2.858 Å, I = 100
2θ 35.56, d = 2.524 Å, I = 68
2θ 38.50, d = 2.338 Å, I = 88
2θ 50.42, d = 1.810 Å, I = 27
2θ 53.41, d = 1.715 Å, I = 21
2θ 65.18, d = 1.431 Å, I = 25
2θ 65.61, d = 1.423 Å, I = 31
2θ 67.74, d = 1.383 Å, I = 21



No. 7
Structure and calculated PXRD pattern of Sr3CaTi4O12 (a crystal structure in Alexandria, relaxed with PBE; Cu Kα X-rays).
Neutral-atom scattering factors, no anomalous dispersion.

Atomic structure:
```
Sr3CaTi4O12
1.0
4.7933 -2.7945 0.0000
4.7933 2.7945 0.0000
-3.1440 0.0000 9.0539
Sr Ca Ti O
3 1 4 12
Direct
0.0000 0.0000 0.0000
0.2468 0.2530 0.7497
0.7470 0.7532 0.2503
0.5102 0.4898 0.5000
0.1340 0.1186 0.3759
0.3804 0.3686 0.1274
0.6314 0.6196 0.8726
0.8814 0.8660 0.6241
0.0574 0.9426 0.5000
0.1926 0.3065 0.2506
0.2239 0.7495 0.7606
0.2505 0.7761 0.2394
0.4766 0.0039 0.0110
0.4982 0.0466 0.4889
0.5313 0.4687 0.0000
0.6935 0.8074 0.7494
0.7216 0.2516 0.2663
0.7484 0.2784 0.7337
0.9534 0.5018 0.5111
0.9961 0.5234 0.9890
```

Peak list (10 most intense, 10 to 90 degrees two-theta, sorted by position)
2θ 32.03, d = 2.795 Å, I = 19
2θ 32.26, d = 2.775 Å, I = 100
2θ 39.66, d = 2.273 Å, I = 10
2θ 39.82, d = 2.264 Å, I = 11
2θ 46.07, d = 1.970 Å, I = 34
2θ 46.51, d = 1.953 Å, I = 16
2θ 57.24, d = 1.609 Å, I = 17
2θ 57.49, d = 1.603 Å, I = 15
2θ 67.54, d = 1.387 Å, I = 17
2θ 76.55, d = 1.245 Å, I = 10



No. 8
Structure and calculated PXRD pattern of Na2TiPSe5 (a crystal structure in Alexandria, relaxed with PBE; Cu Kα X-rays).
Neutral-atom scattering factors, no anomalous dispersion.

Atomic structure:
```
Na2TiPSe5
1.0
1.9915 -8.9978 0.0000
1.9915 8.9978 0.0000
0.0000 0.0000 12.7090
Na Ti P Se
4 2 2 10
Direct
0.1116 0.8884 0.5000
0.1292 0.8708 0.8461
0.8708 0.1292 0.3461
0.8884 0.1116 0.0000
0.2130 0.7870 0.2173
0.7870 0.2130 0.7173
0.4292 0.5708 0.5944
0.5708 0.4292 0.0944
0.0531 0.9469 0.1874
0.3023 0.6977 0.8424
0.3051 0.6949 0.5678
0.3407 0.6593 0.1731
0.4867 0.5133 0.4427
0.5133 0.4867 0.9427
0.6593 0.3407 0.6731
0.6949 0.3051 0.0678
0.6977 0.3023 0.3424
0.9469 0.0531 0.6874
```

Peak list (10 most intense, 10 to 90 degrees two-theta, sorted by position)
2θ 26.88, d = 3.317 Å, I = 32
2θ 28.95, d = 3.084 Å, I = 37
2θ 29.81, d = 2.997 Å, I = 27
2θ 30.39, d = 2.941 Å, I = 35
2θ 30.63, d = 2.919 Å, I = 45
2θ 31.22, d = 2.865 Å, I = 100
2θ 33.56, d = 2.670 Å, I = 27
2θ 45.55, d = 1.991 Å, I = 28
2θ 51.14, d = 1.786 Å, I = 48
2θ 55.87, d = 1.646 Å, I = 31



No. 9
Structure and calculated PXRD pattern of Ac5RhS4 (a crystal structure in Alexandria, relaxed with PBE; Cu Kα X-rays).
Neutral-atom scattering factors, no anomalous dispersion.

Atomic structure:
```
Ac5RhS4
1.0
-2.1606 2.1606 15.2983
2.1606 -2.1606 15.2983
2.1606 2.1606 -15.2983
Ac Rh S
5 1 4
Direct
0.0000 0.0000 0.0000
0.2023 0.2023 0.0000
0.4021 0.4021 0.0000
0.5979 0.5979 0.0000
0.7977 0.7977 0.0000
0.5000 0.5000 0.0000
0.1024 0.1024 0.0000
0.3024 0.3024 0.0000
0.6976 0.6976 0.0000
0.8976 0.8976 0.0000
```

Peak list (10 most intense, 10 to 90 degrees two-theta, sorted by position)
2θ 25.23, d = 3.530 Å, I = 77
2θ 29.21, d = 3.057 Å, I = 100
2θ 41.79, d = 2.162 Å, I = 76
2θ 49.44, d = 1.843 Å, I = 41
2θ 51.80, d = 1.765 Å, I = 27
2θ 60.58, d = 1.528 Å, I = 13
2θ 66.68, d = 1.403 Å, I = 17
2θ 68.65, d = 1.367 Å, I = 35
2θ 76.30, d = 1.248 Å, I = 26
2θ 81.91, d = 1.176 Å, I = 7



No. 10
Structure and calculated PXRD pattern of Ce6Os2RhBr3 (a crystal structure in Alexandria, relaxed with PBE; Cu Kα X-rays).
Neutral-atom scattering factors, no anomalous dispersion.

Atomic structure:
```
Ce6Os2RhBr3
1.0
3.5254 -6.1065 0.0000
3.5254 6.1065 0.0000
-2.3495 0.0000 7.6582
Ce Os Rh Br
6 2 1 3
Direct
0.0961 0.4343 0.8030
0.2273 0.2273 0.1969
0.4343 0.0961 0.8030
0.5657 0.9039 0.1970
0.7727 0.7727 0.8031
0.9039 0.5657 0.1970
0.1667 0.8333 0.0000
0.8333 0.1667 0.0000
0.5000 0.5000 0.0000
0.0000 0.0000 0.5000
0.3333 0.6667 0.5000
0.6667 0.3333 0.5000
```

Peak list (10 most intense, 10 to 90 degrees two-theta, sorted by position)
2θ 11.56, d = 7.658 Å, I = 34
2θ 29.73, d = 3.005 Å, I = 100
2θ 37.44, d = 2.402 Å, I = 17
2θ 40.51, d = 2.227 Å, I = 31
2θ 44.51, d = 2.035 Å, I = 37
2θ 50.81, d = 1.797 Å, I = 11
2θ 54.45, d = 1.685 Å, I = 18
2θ 61.75, d = 1.502 Å, I = 9
2θ 72.87, d = 1.298 Å, I = 15
2θ 79.26, d = 1.209 Å, I = 9



No. 11
Structure and calculated PXRD pattern of ErPaTi2 (a crystal structure in Alexandria, relaxed with PBE; Cu Kα X-rays).
Neutral-atom scattering factors, no anomalous dispersion.

Atomic structure:
```
ErPaTi2
1.0
3.6159 0.0000 0.0000
0.0000 3.6159 0.0000
0.0000 0.0000 6.8842
Er Pa Ti
1 1 2
Direct
0.0000 0.0000 0.0000
0.0000 0.0000 0.5000
0.5000 0.5000 0.2991
0.5000 0.5000 0.7009
```

Peak list (10 most intense, 10 to 90 degrees two-theta, sorted by position)
2θ 24.62, d = 3.616 Å, I = 52
2θ 25.88, d = 3.442 Å, I = 26
2θ 35.10, d = 2.557 Å, I = 58
2θ 36.02, d = 2.493 Å, I = 100
2θ 44.12, d = 2.053 Å, I = 26
2θ 50.48, d = 1.808 Å, I = 21
2θ 57.59, d = 1.601 Å, I = 12
2θ 59.48, d = 1.554 Å, I = 14
2θ 63.57, d = 1.464 Å, I = 38
2θ 65.36, d = 1.428 Å, I = 15



No. 12
Structure and calculated PXRD pattern of Ce2BeGe4Rh3 (a crystal structure in Alexandria, relaxed with PBE; Cu Kα X-rays).
Neutral-atom scattering factors, no anomalous dispersion.

Atomic structure:
```
Ce2BeGe4Rh3
1.0
4.2157 0.0000 0.0000
0.0000 4.2157 0.0000
0.0000 0.0000 10.0819
Ce Be Ge Rh
2 1 4 3
Direct
0.0000 0.5000 0.2479
0.5000 0.0000 0.7521
0.5000 0.5000 0.0000
0.0000 0.0000 0.5000
0.0000 0.5000 0.8715
0.5000 0.0000 0.1285
0.5000 0.5000 0.5000
0.0000 0.0000 0.0000
0.0000 0.5000 0.6295
0.5000 0.0000 0.3705
```

Peak list (10 most intense, 10 to 90 degrees two-theta, sorted by position)
2θ 29.98, d = 2.981 Å, I = 34
2θ 34.12, d = 2.628 Å, I = 94
2θ 34.97, d = 2.566 Å, I = 100
2θ 42.91, d = 2.108 Å, I = 73
2θ 47.22, d = 1.925 Å, I = 16
2θ 50.15, d = 1.819 Å, I = 37
2θ 55.92, d = 1.644 Å, I = 45
2θ 62.29, d = 1.490 Å, I = 24
2θ 68.08, d = 1.377 Å, I = 29
2θ 73.48, d = 1.289 Å, I = 22



No. 13
Structure and calculated PXRD pattern of TePtBr (a crystal structure in Alexandria, relaxed with PBE; Cu Kα X-rays).
Neutral-atom scattering factors, no anomalous dispersion.

Atomic structure:
```
TePtBr
1.0
3.9431 0.0000 0.0000
-1.9716 3.4149 0.0000
0.0000 0.0000 5.7876
Te Pt Br
1 1 1
Direct
0.0000 0.0000 0.0000
0.3333 0.6667 0.7656
0.6667 0.3333 0.4861
```

Peak list (10 most intense, 10 to 90 degrees two-theta, sorted by position)
2θ 15.31, d = 5.788 Å, I = 45
2θ 30.39, d = 2.941 Å, I = 100
2θ 40.88, d = 2.208 Å, I = 56
2θ 46.04, d = 1.972 Å, I = 36
2θ 48.80, d = 1.866 Å, I = 15
2θ 54.64, d = 1.680 Å, I = 19
2θ 56.17, d = 1.638 Å, I = 18
2θ 63.23, d = 1.471 Å, I = 16
2θ 75.46, d = 1.260 Å, I = 15
2θ 81.69, d = 1.179 Å, I = 15